For HoPu2Ni9, the GGA-PBE geometry in OQMD gives the computed powder X-ray diffraction pattern in this record (copper Kα).
Lines closer than 0.1° are merged.

Principal peaks in the range 2θ from 5° to 70°, by angle:
| hkl | 2θ (°) | I_rel |
| --- | --- | --- |
| 0 0 3 | 10.9 | 20 |
| 1 0 1 | 21.6 | 13 |
| 0 0 6 | 21.8 | 10 |
| 1 0 7 | 33.5 | 43 |
| 0 1 8 | 36.4 | 17 |
| 1 1 0 | 37.4 | 41 |
| 1 1 6 | 43.7 | 100 |
| 0 0 12 | 44.4 | 11 |
| 2 1 7 | 64.9 | 13 |
| 0 2 13 | 67.0 | 9 |

Structural model:
a b c (Å): 4.8117 4.8117 24.4580
angles (deg): 90.00 90.00 120.00
Space group R-3m (No. 166, hexagonal axes)
Inequivalent atoms, fractional coordinates:
Ho1 0.0000 0.0000 0.0000 x3
Pu1 0.0000 0.0000 0.1470 x6
Ni1 0.0000 0.0000 0.3328 x6
Ni2 0.0000 0.0000 0.5000 x3
Ni3 0.0012 0.5006 0.0827 x18



For ErFeAg, the GGA-PBE geometry in OQMD gives the computed powder X-ray diffraction pattern in this record (copper Kα).
Lines closer than 0.1° are merged.

Principal peaks in the range 2θ from 5° to 70°, by angle:
| hkl | 2θ (°) | I_rel |
| --- | --- | --- |
| 1 1 1 | 23.5 | 65 |
| 2 2 0 | 38.9 | 100 |
| 3 1 1 | 45.9 | 33 |
| 4 0 0 | 56.1 | 17 |
| 3 3 1 | 61.7 | 14 |

Structural model:
a b c (Å): 6.5560 6.5560 6.5560
angles (deg): 90.00 90.00 90.00
Space group F-43m (No. 216)
Inequivalent atoms, fractional coordinates:
Er1 0.0000 0.0000 0.0000 x4
Fe1 0.2500 0.2500 0.2500 x4
Ag1 0.2500 0.2500 0.7500 x4



For ZrTl2P2O8, the GGA-PBE geometry in OQMD gives the computed powder X-ray diffraction pattern in this record (copper Kα).
Lines closer than 0.1° are merged.

Principal peaks in the range 2θ from 5° to 70°, by angle:
| hkl | 2θ (°) | I_rel |
| --- | --- | --- |
| 1 0 0 | 19.8 | 16 |
| 1 0 1 | 22.1 | 84 |
| 0 1 2 | 27.8 | 100 |
| 1 1 0 | 34.7 | 51 |
| 0 2 1 | 41.5 | 21 |
| 1 0 4 | 44.4 | 21 |
| 2 0 2 | 45.1 | 20 |
| 1 1 3 | 46.0 | 34 |
| 2 1 1 | 55.2 | 17 |
| 1 2 2 | 58.1 | 23 |

Structural model:
a b c (Å): 5.1668 5.1668 9.1798
angles (deg): 90.00 90.00 120.00
Space group P-3 (No. 147)
Inequivalent atoms, fractional coordinates:
Zr1 0.0000 0.0000 0.0000 x1
Tl1 0.3333 0.6667 0.6437 x2
P1 0.3333 0.6667 0.1913 x2
O1 0.0843 0.7233 0.1332 x6
O2 0.3333 0.6667 0.3573 x2



For TcSe2, the GGA-PBE geometry in OQMD gives the computed powder X-ray diffraction pattern in this record (copper Kα).
Lines closer than 0.1° are merged.

Principal peaks in the range 2θ from 5° to 70°, by angle:
| hkl | 2θ (°) | I_rel |
| --- | --- | --- |
| 1 1 -1 | 22.3 | 63 |
| 0 0 2 | 30.8 | 53 |
| 2 0 0 | 31.1 | 60 |
| 1 2 -1 | 33.7 | 100 |
| 0 1 2 | 34.1 | 51 |
| 2 1 0 | 34.4 | 55 |
| 1 1 -3 | 45.6 | 48 |
| 3 1 -1 | 46.1 | 62 |
| 1 3 -1 | 47.5 | 52 |
| 1 3 1 | 51.6 | 64 |

Structural model:
a b c (Å): 6.2484 6.1752 6.3145
angles (deg): 90.00 113.04 90.00
Space group P2_1/c (No. 14)
Inequivalent atoms, fractional coordinates:
Tc1 0.2245 0.0007 0.2088 x4
Se1 0.1530 0.6375 0.3242 x4
Se2 0.3525 0.1304 0.6246 x4



For Cs3Ta2Cu3S8, the GGA-PBE geometry in OQMD gives the computed powder X-ray diffraction pattern in this record (copper Kα).
Lines closer than 0.1° are merged.

Principal peaks in the range 2θ from 5° to 70°, by angle:
| hkl | 2θ (°) | I_rel |
| --- | --- | --- |
| 2 0 -1 | 13.2 | 76 |
| 4 0 0 | 17.3 | 56 |
| 3 1 0 | 20.5 | 55 |
| 2 0 -2 | 23.2 | 100 |
| 6 0 -1 | 26.9 | 68 |
| 5 1 -1 | 28.0 | 59 |
| 1 1 2 | 28.8 | 97 |
| 2 2 -1 | 34.6 | 89 |
| 6 2 1 | 44.4 | 58 |
| 4 2 -3 | 49.2 | 64 |

Structural model:
a b c (Å): 20.7119 5.6217 7.8565
angles (deg): 90.00 98.63 90.00
Space group C2 (No. 5)
Inequivalent atoms, fractional coordinates:
Cs1 0.0000 0.0000 0.0000 x2
Cs2 0.1759 0.5224 0.1992 x4
Ta1 0.1280 0.2750 0.6859 x4
Cu1 0.0000 0.2698 0.5000 x2
Cu2 0.1250 0.7745 0.6796 x4
S1 0.0413 0.5078 0.7415 x4
S2 0.0919 0.0428 0.4472 x4
S3 0.1607 0.0250 0.9127 x4
S4 0.2112 0.5208 0.6430 x4



For ErMgNO, the GGA-PBE geometry in OQMD gives the computed powder X-ray diffraction pattern in this record (copper Kα).
Lines closer than 0.1° are merged.

Principal peaks in the range 2θ from 5° to 70°, by angle:
| hkl | 2θ (°) | I_rel |
| --- | --- | --- |
| 0 0 1 | 19.8 | 67 |
| 1 0 0 | 27.0 | 70 |
| 1 0 1 | 33.7 | 100 |
| 1 1 0 | 38.5 | 65 |
| 0 0 2 | 40.2 | 29 |
| 1 1 1 | 43.7 | 36 |
| 1 0 2 | 49.1 | 28 |
| 2 0 0 | 55.7 | 22 |
| 1 1 2 | 56.9 | 40 |
| 2 1 1 | 66.7 | 31 |

Structural model:
a b c (Å): 3.3029 3.3029 4.4891
angles (deg): 90.00 90.00 90.00
Space group P4/mmm (No. 123)
Inequivalent atoms, fractional coordinates:
Er1 0.0000 0.0000 0.0000 x1
Mg1 0.5000 0.5000 0.5000 x1
N1 0.5000 0.5000 0.0000 x1
O1 0.0000 0.0000 0.5000 x1



For Tb2BiO2, the GGA-PBE geometry in OQMD gives the computed powder X-ray diffraction pattern in this record (copper Kα).
Lines closer than 0.1° are merged.

Principal peaks in the range 2θ from 5° to 70°, by angle:
| hkl | 2θ (°) | I_rel |
| --- | --- | --- |
| 1 0 3 | 30.5 | 100 |
| 1 1 0 | 32.6 | 37 |
| 1 1 2 | 35.3 | 2 |
| 0 0 6 | 40.4 | 10 |
| 2 0 0 | 46.8 | 17 |
| 1 1 6 | 52.8 | 24 |
| 2 1 3 | 56.8 | 35 |
| 2 0 6 | 63.4 | 11 |
| 1 0 9 | 67.3 | 11 |
| 2 2 0 | 68.3 | 6 |

Structural model:
a b c (Å): 3.8856 3.8856 13.4098
angles (deg): 90.00 90.00 90.00
Space group I4/mmm (No. 139)
Inequivalent atoms, fractional coordinates:
Tb1 0.0000 0.0000 0.1665 x4
Bi1 0.0000 0.0000 0.5000 x2
O1 0.0000 0.5000 0.2500 x4



For Rb2HgC4N4, the GGA-PBE geometry in OQMD gives the computed powder X-ray diffraction pattern in this record (copper Kα).
Lines closer than 0.1° are merged.

Principal peaks in the range 2θ from 5° to 70°, by angle:
| hkl | 2θ (°) | I_rel |
| --- | --- | --- |
| 0 1 8 | 19.3 | 54 |
| 1 1 0 | 19.6 | 52 |
| 1 0 10 | 22.6 | 47 |
| 1 1 6 | 22.9 | 100 |
| 2 0 2 | 23.1 | 37 |
| 1 2 8 | 34.1 | 18 |
| 3 0 0 | 34.4 | 24 |
| 2 1 10 | 36.2 | 26 |
| 0 2 16 | 39.1 | 36 |
| 2 2 0 | 39.9 | 26 |

Structural model:
a b c (Å): 9.0372 9.0372 45.6202
angles (deg): 90.00 90.00 120.00
Space group R-3c (No. 167, hexagonal axes)
Inequivalent atoms, fractional coordinates:
Rb1 0.0000 0.0000 0.0000 x6
Rb2 0.0000 0.4349 0.2500 x18
Hg1 0.0000 0.0000 0.1878 x12
C1 0.0000 0.0000 0.1399 x12
C2 0.0725 0.4930 0.3700 x36
N1 0.0000 0.0000 0.1142 x12
N2 0.0673 0.4723 0.1214 x36



For Y2In2Ni3Pt, the GGA-PBE geometry in OQMD gives the computed powder X-ray diffraction pattern in this record (copper Kα).
Lines closer than 0.1° are merged.

Principal peaks in the range 2θ from 5° to 70°, by angle:
| hkl | 2θ (°) | I_rel |
| --- | --- | --- |
| 0 0 1 | 10.2 | 15 |
| 0 0 2 | 20.5 | 16 |
| 0 1 1 | 25.2 | 13 |
| 0 1 2 | 31.0 | 53 |
| 0 1 3 | 39.0 | 85 |
| 1 1 0 | 40.4 | 100 |
| 0 1 4 | 48.2 | 17 |
| 2 0 2 | 51.8 | 14 |
| 2 0 3 | 57.4 | 27 |
| 1 0 6 | 69.6 | 15 |

Structural model:
a b c (Å): 4.4664 4.4664 8.6497
angles (deg): 90.00 90.00 120.00
Space group P3m1 (No. 156)
Inequivalent atoms, fractional coordinates:
Y1 0.0000 0.0000 0.0000 x1
Y2 0.3333 0.6667 0.5097 x1
In1 0.6667 0.3333 0.2394 x1
In2 0.6667 0.3333 0.7579 x1
Ni1 0.0000 0.0000 0.6765 x1
Ni2 0.3333 0.6667 0.1605 x1
Ni3 0.3333 0.6667 0.8409 x1
Pt1 0.0000 0.0000 0.3509 x1



For Zr3Ni2Pd2N4, the GGA-PBE geometry in OQMD gives the computed powder X-ray diffraction pattern in this record (copper Kα).
Lines closer than 0.1° are merged.

Principal peaks in the range 2θ from 5° to 70°, by angle:
| hkl | 2θ (°) | I_rel |
| --- | --- | --- |
| 1 0 1 | 19.6 | 37 |
| 1 0 2 | 28.4 | 54 |
| 1 1 -1 | 33.7 | 95 |
| 1 0 -3 | 35.1 | 95 |
| 0 1 2 | 36.6 | 37 |
| 1 1 -2 | 38.5 | 50 |
| 2 0 2 | 39.9 | 38 |
| 2 1 0 | 41.9 | 100 |
| 2 1 -2 | 45.9 | 49 |
| 1 1 3 | 48.9 | 86 |

Structural model:
a b c (Å): 6.0255 3.1166 8.0584
angles (deg): 90.00 97.31 90.00
Space group Pm (No. 6)
Inequivalent atoms, fractional coordinates:
Zr1 0.0000 0.0000 0.0000 x1
Zr2 0.1331 0.5000 0.4064 x1
Zr3 0.4644 0.0000 0.8696 x1
Ni1 0.1332 0.5000 0.7166 x1
Ni2 0.8098 0.0000 0.6923 x1
Pd1 0.5200 0.0000 0.4369 x1
Pd2 0.6909 0.5000 0.2120 x1
N1 0.2534 0.5000 0.9697 x1
N2 0.2654 0.0000 0.6180 x1
N3 0.7492 0.5000 0.8542 x1
N4 0.9758 0.0000 0.2581 x1



For PrZrIn, the GGA-PBE geometry in OQMD gives the computed powder X-ray diffraction pattern in this record (copper Kα).
Lines closer than 0.1° are merged.

Principal peaks in the range 2θ from 5° to 70°, by angle:
| hkl | 2θ (°) | I_rel |
| --- | --- | --- |
| 1 1 1 | 21.4 | 31 |
| 2 0 0 | 24.8 | 14 |
| 2 2 0 | 35.3 | 100 |
| 3 1 1 | 41.7 | 16 |
| 2 2 2 | 43.6 | 4 |
| 4 0 0 | 50.8 | 17 |
| 3 3 1 | 55.8 | 7 |
| 4 2 0 | 57.3 | 6 |
| 4 2 2 | 63.4 | 35 |
| 5 1 1 | 67.8 | 5 |

Structural model:
a b c (Å): 7.1866 7.1866 7.1866
angles (deg): 90.00 90.00 90.00
Space group F-43m (No. 216)
Inequivalent atoms, fractional coordinates:
Pr1 0.0000 0.0000 0.0000 x4
Zr1 0.0000 0.0000 0.5000 x4
In1 0.2500 0.2500 0.2500 x4



For ErTmCo2Pb, the GGA-PBE geometry in OQMD gives the computed powder X-ray diffraction pattern in this record (copper Kα).
Lines closer than 0.1° are merged.

Principal peaks in the range 2θ from 5° to 70°, by angle:
| hkl | 2θ (°) | I_rel |
| --- | --- | --- |
| 0 1 3 | 30.3 | 55 |
| 1 1 1 | 33.9 | 100 |
| 1 0 4 | 34.9 | 72 |
| 0 0 6 | 38.6 | 27 |
| 0 1 5 | 40.0 | 27 |
| 0 2 0 | 47.7 | 21 |
| 2 0 0 | 47.8 | 21 |
| 1 1 7 | 57.5 | 21 |
| 2 1 3 | 57.7 | 19 |
| 1 2 4 | 60.4 | 30 |

Structural model:
a b c (Å): 3.8044 3.8150 13.9731
angles (deg): 90.00 90.00 90.00
Space group Amm2 (No. 38)
Inequivalent atoms, fractional coordinates:
Er1 0.0000 0.0000 0.0000 x2
Tm1 0.0000 0.0000 0.2842 x2
Co1 0.5000 0.0000 0.4367 x2
Co2 0.5000 0.0000 0.8465 x2
Pb1 0.5000 0.0000 0.6424 x2